For AlVMoO7, DFT lattice parameters and positions (GGA+U) gives the computed powder XRD pattern in this record (Cu Kα).
Neutral-atom scattering factors, no anomalous dispersion.

Principal peaks in the range 2θ = 10–90°, in order of rising 2θ:
h k l	2theta	I_rel
2 0 0	13.7	18
0 1 1	19.5	16
1 1 1	20.7	83
0 0 2	21.4	17
3 0 1	23.2	100
1 1 2	27.9	43
2 1 2	30.4	49
0 2 0	32.9	21
2 2 3	49.0	21
7 0 1	50.5	17

a b c (Å): 12.962 5.451 8.305
angles (deg): 90.00 90.00 90.00
Space group Pnma (No. 62)
Unique sites:
Al1 0.112 0.250 0.234
V1 0.015 0.250 0.567
Mo1 0.145 0.750 0.955
O1 0.026 0.750 0.844
O2 0.069 0.022 0.401
O3 0.095 0.250 0.716
O4 0.149 0.009 0.086
O5 0.246 0.250 0.322